Computed PXRD pattern
Compound: Tl12InPb6
Radiation: a wavelength of 1.5418 Å
Structure: a structure optimized by DFT (GGA-PBE)
No peak broadening, texture or thermal motion is included.

Top 10 peaks for 2θ = 10–90°, by angle:
hkl	2θ/deg	intensity
3 2 1	30.8	100
0 0 3	32.1	30
5 -3 2	36.1	66
1 7 0	51.1	25
3 2 4	52.8	23
10 -6 1	60.9	15
1 7 3	61.7	29
5 -3 5	63.2	13
6 4 2	64.2	13
11 1 1	83.5	12

Cell and atoms:
Lattice parameters (Å, degrees): 15.5734 15.5734 8.3669 90.00 90.00 120.00
Space group R-3 (No. 148, hexagonal axes)
Unique sites:
Tl 0.0179 0.1386 0.1688 (multiplicity 18)
Tl 0.0728 0.5638 0.1644 (multiplicity 18)
In 0.0000 0.0000 0.5000 (multiplicity 3)
Pb 0.0386 0.2837 0.8345 (multiplicity 18)